[1]
For TbCo2B2, a structure optimized by DFT (PBE) gives the calculated powder diffractogram in this record (Cu Kα, 1.54184 Å).
Peak positions follow from Bragg's law for the DFT cell and can differ from measured ones.

Most intense lines, 5 to 70 degrees two-theta, most intense first:
Position (°2θ), Rel. int.
40.6, 100
26.8, 86
38.1, 47
65.7, 41
38.0, 29
51.4, 28
58.9, 20
55.0, 13
35.7, 2
18.8, 1

Structural model:
```
TbCo2B2
1.0
3.5552 0.0000 0.0000
0.0000 3.5552 0.0000
0.0000 0.0000 9.4644
Tb Co B
2 4 4
Direct
0.0000 0.0000 0.0000
0.5000 0.5000 0.5000
0.0000 0.5000 0.2500
0.0000 0.5000 0.7500
0.5000 0.0000 0.2500
0.5000 0.0000 0.7500
0.0000 0.0000 0.3471
0.0000 0.0000 0.6529
0.5000 0.5000 0.1529
0.5000 0.5000 0.8471
```

---

[2]
For Tb4CoB13, a structure optimized by DFT (PBE) gives the calculated powder diffractogram in this record (Cu Kα, 1.54184 Å).
Peak positions follow from Bragg's law for the DFT cell and can differ from measured ones.

Most intense lines, 5 to 70 degrees two-theta, most intense first:
Position (°2θ), Rel. int.
37.7, 100
27.2, 95
25.7, 59
35.6, 40
58.3, 40
24.3, 39
51.3, 38
47.1, 28
43.5, 22
60.3, 21

Structural model:
```
Tb4CoB13
1.0
7.3384 0.0000 0.0000
0.0000 7.3384 0.0000
0.0000 0.0000 6.9449
Tb Co B
8 2 26
Direct
0.1813 0.3156 0.0000
0.1844 0.3187 0.5000
0.3156 0.8187 0.0000
0.3187 0.8156 0.5000
0.6813 0.1844 0.5000
0.6844 0.1813 0.0000
0.8156 0.6813 0.5000
0.8187 0.6844 0.0000
0.0000 0.0000 0.5000
0.5000 0.5000 0.0000
0.0000 0.0000 0.0000
0.0394 0.8307 0.2460
0.0394 0.8307 0.7540
0.0913 0.5913 0.2500
0.0913 0.5913 0.7500
0.1693 0.0394 0.2460
0.1693 0.0394 0.7540
0.3307 0.5394 0.2540
0.3307 0.5394 0.7460
0.4087 0.0913 0.2500
0.4087 0.0913 0.7500
0.4606 0.3307 0.2540
0.4606 0.3307 0.7460
0.5000 0.5000 0.5000
0.5394 0.6693 0.2540
0.5394 0.6693 0.7460
0.5913 0.9087 0.2500
0.5913 0.9087 0.7500
0.6693 0.4606 0.2540
0.6693 0.4606 0.7460
0.8307 0.9606 0.2460
0.8307 0.9606 0.7540
0.9087 0.4087 0.2500
0.9087 0.4087 0.7500
0.9606 0.1693 0.2460
0.9606 0.1693 0.7540
```

---

[3]
For TbCo4B, a structure optimized by DFT (PBE) gives the calculated powder diffractogram in this record (Cu Kα, 1.54184 Å).
Peak positions follow from Bragg's law for the DFT cell and can differ from measured ones.

Most intense lines, 5 to 70 degrees two-theta, most intense first:
Position (°2θ), Rel. int.
44.9, 100
33.4, 86
41.7, 71
35.9, 31
63.0, 28
20.5, 15
66.3, 13
53.7, 13
38.3, 9
39.6, 9

Structural model:
```
TbCo4B
1.0
5.0014 0.0000 0.0000
-2.5007 4.3314 0.0000
0.0000 0.0000 6.8289
Tb Co B
2 8 2
Direct
0.0000 0.0000 0.0000
0.0000 0.0000 0.5000
0.0000 0.5000 0.2120
0.0000 0.5000 0.7880
0.3333 0.6667 0.5000
0.5000 0.0000 0.2120
0.5000 0.0000 0.7880
0.5000 0.5000 0.2120
0.5000 0.5000 0.7880
0.6667 0.3333 0.5000
0.3333 0.6667 0.0000
0.6667 0.3333 0.0000
```

---

[4]
For Th2CoB10, a structure optimized by DFT (PBE) gives the calculated powder diffractogram in this record (Cu Kα, 1.54184 Å).
Peak positions follow from Bragg's law for the DFT cell and can differ from measured ones.

Most intense lines, 5 to 70 degrees two-theta, most intense first:
Position (°2θ), Rel. int.
31.1, 100
22.4, 81
38.6, 70
21.3, 39
49.3, 36
31.9, 32
56.3, 20
45.7, 18
43.3, 16
27.8, 16

Structural model:
```
Th2CoB10
1.0
5.6176 0.0000 0.0000
0.0000 11.2194 0.0000
0.0000 0.0000 4.1793
Th Co B
4 2 20
Direct
0.1982 0.1345 0.0000
0.3018 0.6345 0.0000
0.6982 0.3655 0.0000
0.8018 0.8655 0.0000
0.0000 0.5000 0.5000
0.5000 0.0000 0.5000
0.0347 0.3128 0.5000
0.1271 0.9600 0.5000
0.1527 0.8029 0.5000
0.2008 0.3865 0.2001
0.2008 0.3865 0.7999
0.2992 0.8865 0.2001
0.2992 0.8865 0.7999
0.3473 0.3029 0.5000
0.3729 0.4600 0.5000
0.4653 0.8128 0.5000
0.5347 0.1872 0.5000
0.6271 0.5400 0.5000
0.6527 0.6971 0.5000
0.7008 0.1135 0.2001
0.7008 0.1135 0.7999
0.7992 0.6135 0.2001
0.7992 0.6135 0.7999
0.8473 0.1971 0.5000
0.8729 0.0400 0.5000
0.9653 0.6872 0.5000
```

---

[5]
For Ti2Co21B6, a structure optimized by DFT (PBE) gives the calculated powder diffractogram in this record (Cu Kα, 1.54184 Å).
Peak positions follow from Bragg's law for the DFT cell and can differ from measured ones.

Most intense lines, 5 to 70 degrees two-theta, most intense first:
Position (°2θ), Rel. int.
45.0, 100
51.7, 26
42.3, 24
38.5, 19
49.3, 18
52.5, 15
34.3, 7
58.5, 6
29.6, 3
57.8, 3

Structural model:
```
Ti2Co21B6
1.0
0.0000 5.2323 5.2323
5.2323 0.0000 5.2323
5.2323 5.2323 0.0000
Ti Co B
2 21 6
Direct
0.2500 0.2500 0.2500
0.7500 0.7500 0.7500
0.0000 0.0000 0.0000
0.0000 0.0000 0.3382
0.0000 0.0000 0.6618
0.0000 0.3382 0.0000
0.0000 0.3382 0.6618
0.0000 0.6618 0.0000
0.0000 0.6618 0.3382
0.1463 0.6179 0.6179
0.3382 0.0000 0.0000
0.3382 0.0000 0.6618
0.3382 0.6618 0.0000
0.3821 0.3821 0.3821
0.3821 0.3821 0.8537
0.3821 0.8537 0.3821
0.6179 0.1463 0.6179
0.6179 0.6179 0.1463
0.6179 0.6179 0.6179
0.6618 0.0000 0.0000
0.6618 0.0000 0.3382
0.6618 0.3382 0.0000
0.8537 0.3821 0.3821
0.2752 0.2752 0.7248
0.2752 0.7248 0.2752
0.2752 0.7248 0.7248
0.7248 0.2752 0.2752
0.7248 0.2752 0.7248
0.7248 0.7248 0.2752
```

---

[6]
For Tm4CoB13, a structure optimized by DFT (PBE) gives the calculated powder diffractogram in this record (Cu Kα, 1.54184 Å).
Peak positions follow from Bragg's law for the DFT cell and can differ from measured ones.

Most intense lines, 5 to 70 degrees two-theta, most intense first:
Position (°2θ), Rel. int.
38.3, 100
27.5, 97
26.2, 60
24.5, 42
36.2, 42
59.1, 41
52.0, 38
47.8, 27
44.2, 22
61.5, 21

Structural model:
```
Tm4CoB13
1.0
7.2532 0.0000 0.0000
0.0000 7.2532 0.0000
0.0000 0.0000 6.8126
Tm Co B
8 2 26
Direct
0.1816 0.3151 0.0000
0.1849 0.3184 0.5000
0.3151 0.8184 0.0000
0.3184 0.8151 0.5000
0.6816 0.1849 0.5000
0.6849 0.1816 0.0000
0.8151 0.6816 0.5000
0.8184 0.6849 0.0000
0.0000 0.0000 0.5000
0.5000 0.5000 0.0000
0.0000 0.0000 0.0000
0.0390 0.8294 0.2459
0.0390 0.8294 0.7541
0.0902 0.5902 0.2500
0.0902 0.5902 0.7500
0.1706 0.0390 0.2459
0.1706 0.0390 0.7541
0.3294 0.5390 0.2541
0.3294 0.5390 0.7459
0.4098 0.0902 0.2500
0.4098 0.0902 0.7500
0.4610 0.3294 0.2541
0.4610 0.3294 0.7459
0.5000 0.5000 0.5000
0.5390 0.6706 0.2541
0.5390 0.6706 0.7459
0.5902 0.9098 0.2500
0.5902 0.9098 0.7500
0.6706 0.4610 0.2541
0.6706 0.4610 0.7459
0.8294 0.9610 0.2459
0.8294 0.9610 0.7541
0.9098 0.4098 0.2500
0.9098 0.4098 0.7500
0.9610 0.1706 0.2459
0.9610 0.1706 0.7541
```

---

[7]
For TmCoB4, a structure optimized by DFT (PBE) gives the calculated powder diffractogram in this record (Cu Kα, 1.54184 Å).
Peak positions follow from Bragg's law for the DFT cell and can differ from measured ones.

Most intense lines, 5 to 70 degrees two-theta, most intense first:
Position (°2θ), Rel. int.
41.7, 100
31.5, 87
26.6, 65
39.1, 31
28.1, 30
21.8, 24
64.6, 22
44.6, 22
34.6, 21
47.7, 20

Structural model:
```
TmCoB4
1.0
5.8670 0.0000 0.0000
0.0000 11.3528 0.0000
0.0000 0.0000 3.3507
Tm Co B
4 4 16
Direct
0.1275 0.1499 0.0000
0.3725 0.6499 0.0000
0.6275 0.3501 0.0000
0.8725 0.8501 0.0000
0.1351 0.4104 0.0000
0.3649 0.9104 0.0000
0.6351 0.0896 0.0000
0.8649 0.5896 0.0000
0.0234 0.6916 0.5000
0.1119 0.5464 0.5000
0.1379 0.9679 0.5000
0.2172 0.8148 0.5000
0.2828 0.3148 0.5000
0.3621 0.4679 0.5000
0.3881 0.0464 0.5000
0.4766 0.1916 0.5000
0.5234 0.8084 0.5000
0.6119 0.9536 0.5000
0.6379 0.5321 0.5000
0.7172 0.6852 0.5000
0.7828 0.1852 0.5000
0.8621 0.0321 0.5000
0.8881 0.4536 0.5000
0.9766 0.3084 0.5000
```

---

[8]
For UCo4B4, a structure optimized by DFT (PBE) gives the calculated powder diffractogram in this record (Cu Kα, 1.54184 Å).
Peak positions follow from Bragg's law for the DFT cell and can differ from measured ones.

Most intense lines, 5 to 70 degrees two-theta, most intense first:
Position (°2θ), Rel. int.
42.4, 100
42.9, 57
21.9, 54
36.2, 43
25.2, 40
44.6, 22
35.9, 22
69.0, 21
38.2, 20
69.3, 16

Structural model:
```
UCo4B4
1.0
5.0005 0.0000 0.0000
0.0000 5.0005 0.0000
0.0000 0.0000 6.9814
U Co B
2 8 8
Direct
0.2500 0.7500 0.2500
0.7500 0.2500 0.7500
0.0036 0.2500 0.1088
0.2500 0.0036 0.6088
0.2500 0.4964 0.6088
0.4964 0.2500 0.1088
0.5036 0.7500 0.8912
0.7500 0.5036 0.3912
0.7500 0.9964 0.3912
0.9964 0.7500 0.8912
0.0762 0.2500 0.4051
0.2500 0.0762 0.9051
0.2500 0.4238 0.9051
0.4238 0.2500 0.4051
0.5762 0.7500 0.5949
0.7500 0.5762 0.0949
0.7500 0.9238 0.0949
0.9238 0.7500 0.5949
```

---

[9]
For UCo4B, a structure optimized by DFT (PBE) gives the calculated powder diffractogram in this record (Cu Kα, 1.54184 Å).
Peak positions follow from Bragg's law for the DFT cell and can differ from measured ones.

Most intense lines, 5 to 70 degrees two-theta, most intense first:
Position (°2θ), Rel. int.
33.5, 100
45.5, 86
42.8, 60
21.0, 40
36.9, 35
64.3, 32
66.4, 23
57.7, 16
53.1, 12
39.2, 11

Structural model:
```
UCo4B
1.0
4.8775 0.0000 0.0000
-2.4388 4.2240 0.0000
0.0000 0.0000 6.9003
U Co B
2 8 2
Direct
0.0000 0.0000 0.0000
0.0000 0.0000 0.5000
0.0000 0.5000 0.2115
0.0000 0.5000 0.7885
0.3333 0.6667 0.5000
0.5000 0.0000 0.2115
0.5000 0.0000 0.7885
0.5000 0.5000 0.2115
0.5000 0.5000 0.7885
0.6667 0.3333 0.5000
0.3333 0.6667 0.0000
0.6667 0.3333 0.0000
```

---

[10]
For UCo3B2, a structure optimized by DFT (PBE) gives the calculated powder diffractogram in this record (Cu Kα, 1.54184 Å).
Peak positions follow from Bragg's law for the DFT cell and can differ from measured ones.

Most intense lines, 5 to 70 degrees two-theta, most intense first:
Position (°2θ), Rel. int.
36.4, 100
41.9, 70
20.6, 60
47.4, 55
65.1, 38
36.1, 21
56.5, 10
61.7, 8
65.8, 6
64.9, 4

Structural model:
```
UCo3B2
1.0
4.9773 0.0000 0.0000
-2.4887 4.3105 0.0000
0.0000 0.0000 3.0071
U Co B
1 3 2
Direct
0.0000 0.0000 0.0000
0.0000 0.5000 0.5000
0.5000 0.0000 0.5000
0.5000 0.5000 0.5000
0.3333 0.6667 0.0000
0.6667 0.3333 0.0000
```